No. 1
Starting from the PBE geometry in OQMD, the powder X-ray diffraction pattern of La3Bi4Au3 was simulated for CuKα.
No peak broadening, texture or thermal motion is included.

Unit cell a=9.003 b=9.003 c=9.003 alpha=109.47 beta=109.47 gamma=109.47
Element x y z (fractional)
La: 0.125 0.750 0.875
La: 0.250 0.625 0.375
La: 0.375 0.250 0.625
La: 0.625 0.375 0.250
La: 0.750 0.875 0.125
La: 0.875 0.125 0.750
Bi: 0.000 0.323 0.500
Bi: 0.000 0.823 0.500
Bi: 0.177 0.177 0.177
Bi: 0.323 0.500 0.000
Bi: 0.500 0.000 0.323
Bi: 0.500 0.000 0.823
Bi: 0.677 0.677 0.677
Bi: 0.823 0.500 0.000
Au: 0.125 0.875 0.250
Au: 0.250 0.125 0.875
Au: 0.375 0.625 0.750
Au: 0.625 0.750 0.375
Au: 0.750 0.375 0.625
Au: 0.875 0.250 0.125

Principal peaks in the range 15 to 90 degrees two-theta, sorted by position:
| d (Å) | two_theta | I (rel.) |
| --- | --- | --- |
| 4.244 | 20.93 | 18.4 |
| 3.287 | 27.13 | 9.5 |
| 2.778 | 32.22 | 100.0 |
| 2.325 | 38.74 | 29.0 |
| 2.122 | 42.61 | 16.7 |
| 2.039 | 44.44 | 21.1 |
| 1.898 | 47.93 | 11.9 |
| 1.644 | 55.94 | 10.9 |
| 1.533 | 60.39 | 10.8 |
| 1.415 | 66.04 | 9.3 |

No. 2
Starting from the PBE geometry in OQMD, the powder X-ray diffraction pattern of La2SnBiAu4 was simulated for CuKα.
No peak broadening, texture or thermal motion is included.

Unit cell a=4.907 b=4.907 c=9.652 alpha=90.00 beta=90.00 gamma=120.00
Element x y z (fractional)
La: 0.333 0.667 0.250
La: 0.667 0.333 0.750
Sn: 0.000 0.000 0.500
Bi: 0.000 0.000 0.000
Au: 0.333 0.667 0.591
Au: 0.333 0.667 0.888
Au: 0.667 0.333 0.112
Au: 0.667 0.333 0.409

Principal peaks in the range 15 to 90 degrees two-theta, sorted by position:
| d (Å) | two_theta | I (rel.) |
| --- | --- | --- |
| 3.890 | 22.86 | 12.6 |
| 3.189 | 27.97 | 25.6 |
| 2.565 | 34.98 | 91.2 |
| 2.454 | 36.62 | 100.0 |
| 2.098 | 43.11 | 18.5 |
| 1.773 | 51.54 | 30.6 |
| 1.504 | 61.65 | 13.9 |
| 1.437 | 64.88 | 30.8 |
| 1.417 | 65.94 | 18.4 |
| 1.107 | 88.30 | 14.2 |

No. 3
Starting from the PBE geometry in OQMD, the powder X-ray diffraction pattern of LaTbBi4Au2 was simulated for CuKα.
No peak broadening, texture or thermal motion is included.

Unit cell a=4.660 b=4.660 c=10.001 alpha=90.00 beta=90.00 gamma=90.00
Element x y z (fractional)
La: 0.000 0.000 0.000
Tb: 0.500 0.500 0.537
Bi: 0.000 0.000 0.566
Bi: 0.000 0.500 0.272
Bi: 0.500 0.000 0.272
Bi: 0.500 0.500 0.952
Au: 0.000 0.500 0.755
Au: 0.500 0.000 0.755

Principal peaks in the range 15 to 90 degrees two-theta, sorted by position:
| d (Å) | two_theta | I (rel.) |
| --- | --- | --- |
| 3.334 | 26.74 | 5.0 |
| 2.751 | 32.54 | 100.0 |
| 2.500 | 35.92 | 12.0 |
| 2.344 | 38.41 | 7.6 |
| 2.330 | 38.64 | 37.2 |
| 1.992 | 45.54 | 4.8 |
| 1.705 | 53.78 | 15.4 |
| 1.648 | 55.80 | 13.0 |
| 1.414 | 66.10 | 26.9 |
| 1.376 | 68.16 | 7.6 |

No. 4
Starting from the PBE geometry in OQMD, the powder X-ray diffraction pattern of BiMoAu2 was simulated for CuKα.
No peak broadening, texture or thermal motion is included.

Unit cell a=4.801 b=4.801 c=4.801 alpha=60.00 beta=60.00 gamma=60.00
Element x y z (fractional)
Bi: 0.000 0.000 0.000
Mo: 0.250 0.250 0.250
Au: 0.500 0.500 0.500
Au: 0.750 0.750 0.750

Principal peaks in the range 15 to 90 degrees two-theta, sorted by position:
| d (Å) | two_theta | I (rel.) |
| --- | --- | --- |
| 3.920 | 22.68 | 4.6 |
| 3.395 | 26.25 | 2.9 |
| 2.400 | 37.47 | 100.0 |
| 2.047 | 44.24 | 2.7 |
| 1.697 | 54.02 | 17.6 |
| 1.558 | 59.33 | 1.2 |
| 1.518 | 61.03 | 1.3 |
| 1.386 | 67.59 | 36.3 |
| 1.200 | 79.93 | 11.6 |
| 1.148 | 84.40 | 0.9 |

No. 5
Starting from the PBE geometry in OQMD, the powder X-ray diffraction pattern of NaBi2AuO5 was simulated for CuKα.
No peak broadening, texture or thermal motion is included.

Unit cell a=12.344 b=12.344 c=3.631 alpha=90.00 beta=90.00 gamma=90.00
Element x y z (fractional)
Na: 0.200 0.300 0.000
Na: 0.300 0.800 0.000
Na: 0.700 0.200 0.000
Na: 0.800 0.700 0.000
Bi: 0.049 0.769 0.496
Bi: 0.231 0.049 0.504
Bi: 0.269 0.549 0.504
Bi: 0.451 0.269 0.496
Bi: 0.549 0.731 0.496
Bi: 0.731 0.451 0.504
Bi: 0.769 0.951 0.504
Bi: 0.951 0.231 0.496
Au: 0.000 0.000 0.000
Au: 0.000 0.500 0.000
Au: 0.500 0.000 0.000
Au: 0.500 0.500 0.000
O: 0.005 0.337 0.998
O: 0.116 0.117 0.000
O: 0.117 0.884 0.000
O: 0.163 0.495 0.002
O: 0.212 0.712 0.500
O: 0.288 0.212 0.500
O: 0.337 0.995 0.002
O: 0.383 0.384 0.000
O: 0.384 0.617 0.000
O: 0.495 0.837 0.998
O: 0.505 0.163 0.998
O: 0.616 0.383 0.000
O: 0.617 0.616 0.000
O: 0.663 0.005 0.002
O: 0.712 0.788 0.500
O: 0.788 0.288 0.500
O: 0.837 0.505 0.002
O: 0.883 0.116 0.000
O: 0.884 0.883 0.000
O: 0.995 0.663 0.998

Principal peaks in the range 15 to 90 degrees two-theta, sorted by position:
| d (Å) | two_theta | I (rel.) |
| --- | --- | --- |
| 5.521 | 16.05 | 17.9 |
| 3.129 | 28.52 | 29.1 |
| 3.086 | 28.93 | 48.0 |
| 3.033 | 29.45 | 15.1 |
| 2.994 | 29.84 | 23.8 |
| 2.791 | 32.07 | 100.0 |
| 2.760 | 32.44 | 22.0 |
| 2.310 | 38.99 | 16.2 |
| 1.790 | 51.02 | 20.2 |
| 1.641 | 56.03 | 16.3 |

No. 6
Starting from the PBE geometry in OQMD, the powder X-ray diffraction pattern of RbNa3Bi2Au2 was simulated for CuKα.
No peak broadening, texture or thermal motion is included.

Unit cell a=6.096 b=6.152 c=6.725 alpha=90.00 beta=105.98 gamma=90.00
Element x y z (fractional)
Rb: 0.000 0.000 0.000
Na: 0.028 0.500 0.292
Na: 0.365 0.000 0.656
Na: 0.660 0.500 0.608
Bi: 0.238 0.500 0.820
Bi: 0.796 0.000 0.455
Au: 0.536 0.259 0.138
Au: 0.536 0.741 0.138

Principal peaks in the range 15 to 90 degrees two-theta, sorted by position:
| d (Å) | two_theta | I (rel.) |
| --- | --- | --- |
| 5.096 | 17.40 | 100.0 |
| 4.456 | 19.92 | 24.5 |
| 4.243 | 20.94 | 40.8 |
| 2.861 | 31.26 | 41.9 |
| 2.777 | 32.23 | 28.6 |
| 2.724 | 32.89 | 27.7 |
| 2.694 | 33.25 | 24.5 |
| 2.549 | 35.21 | 47.3 |
| 2.402 | 37.44 | 44.5 |
| 2.228 | 40.48 | 44.9 |

No. 7
Starting from the PBE geometry in OQMD, the powder X-ray diffraction pattern of Na4BiSbAu2 was simulated for CuKα.
No peak broadening, texture or thermal motion is included.

Unit cell a=5.839 b=6.035 c=6.035 alpha=101.03 beta=90.00 gamma=90.00
Element x y z (fractional)
Na: 0.000 0.181 0.819
Na: 0.000 0.819 0.181
Na: 0.500 0.488 0.856
Na: 0.500 0.856 0.488
Bi: 0.000 0.638 0.638
Sb: 0.500 0.029 0.029
Au: 0.249 0.326 0.326
Au: 0.751 0.326 0.326

Principal peaks in the range 15 to 90 degrees two-theta, sorted by position:
| d (Å) | two_theta | I (rel.) |
| --- | --- | --- |
| 4.658 | 19.05 | 100.0 |
| 4.158 | 21.37 | 53.9 |
| 2.619 | 34.24 | 63.7 |
| 2.582 | 34.74 | 32.5 |
| 2.467 | 36.42 | 48.8 |
| 2.325 | 38.72 | 58.5 |
| 2.079 | 43.53 | 44.1 |
| 2.050 | 44.18 | 24.4 |
| 1.975 | 45.96 | 17.3 |
| 1.645 | 55.90 | 22.9 |

No. 8
Starting from the PBE geometry in OQMD, the powder X-ray diffraction pattern of BiAuSeO was simulated for CuKα.
No peak broadening, texture or thermal motion is included.

Unit cell a=4.014 b=4.014 c=9.426 alpha=90.00 beta=90.00 gamma=90.00
Element x y z (fractional)
Bi: 0.250 0.250 0.132
Bi: 0.750 0.750 0.868
Au: 0.250 0.750 0.500
Au: 0.750 0.250 0.500
Se: 0.250 0.250 0.709
Se: 0.750 0.750 0.291
O: 0.250 0.750 0.000
O: 0.750 0.250 0.000

Principal peaks in the range 15 to 90 degrees two-theta, sorted by position:
| d (Å) | two_theta | I (rel.) |
| --- | --- | --- |
| 3.142 | 28.41 | 33.9 |
| 3.056 | 29.23 | 91.1 |
| 2.718 | 32.96 | 100.0 |
| 2.474 | 36.31 | 28.2 |
| 2.431 | 36.97 | 75.4 |
| 2.007 | 45.18 | 58.7 |
| 1.813 | 50.33 | 49.0 |
| 1.691 | 54.23 | 24.3 |
| 1.677 | 54.72 | 32.5 |
| 1.374 | 68.25 | 22.5 |

No. 9
Starting from the PBE geometry in OQMD, the powder X-ray diffraction pattern of SrBi2PtAu was simulated for CuKα.
No peak broadening, texture or thermal motion is included.

Unit cell a=5.024 b=4.881 c=11.194 alpha=90.00 beta=92.55 gamma=90.00
Element x y z (fractional)
Sr: 0.224 0.250 0.246
Sr: 0.776 0.750 0.754
Bi: 0.253 0.750 0.498
Bi: 0.306 0.250 0.865
Bi: 0.694 0.750 0.135
Bi: 0.747 0.250 0.502
Pt: 0.255 0.250 0.623
Pt: 0.745 0.750 0.377
Au: 0.185 0.750 0.000
Au: 0.815 0.250 0.000

Principal peaks in the range 15 to 90 degrees two-theta, sorted by position:
| d (Å) | two_theta | I (rel.) |
| --- | --- | --- |
| 5.592 | 15.85 | 59.5 |
| 4.474 | 19.85 | 34.3 |
| 3.009 | 29.69 | 100.0 |
| 2.963 | 30.17 | 38.8 |
| 2.927 | 30.54 | 87.0 |
| 2.509 | 35.78 | 59.1 |
| 2.441 | 36.83 | 72.4 |
| 2.218 | 40.68 | 61.0 |
| 2.152 | 41.99 | 62.7 |
| 1.750 | 52.29 | 40.6 |

No. 10
Starting from the PBE geometry in OQMD, the powder X-ray diffraction pattern of RbBi4Au4 was simulated for CuKα.
No peak broadening, texture or thermal motion is included.

Unit cell a=7.273 b=7.273 c=9.928 alpha=90.00 beta=90.00 gamma=90.00
Element x y z (fractional)
Rb: 0.250 0.750 0.250
Rb: 0.750 0.250 0.750
Bi: 0.007 0.250 0.111
Bi: 0.250 0.007 0.611
Bi: 0.250 0.493 0.611
Bi: 0.493 0.250 0.111
Bi: 0.507 0.750 0.889
Bi: 0.750 0.507 0.389
Bi: 0.750 0.993 0.389
Bi: 0.993 0.750 0.889
Au: 0.057 0.250 0.404
Au: 0.250 0.057 0.904
Au: 0.250 0.443 0.904
Au: 0.443 0.250 0.404
Au: 0.557 0.750 0.596
Au: 0.750 0.557 0.096
Au: 0.750 0.943 0.096
Au: 0.943 0.750 0.596

Principal peaks in the range 15 to 90 degrees two-theta, sorted by position:
| d (Å) | two_theta | I (rel.) |
| --- | --- | --- |
| 5.867 | 15.10 | 57.8 |
| 3.091 | 28.89 | 100.0 |
| 3.012 | 29.66 | 57.1 |
| 2.571 | 34.89 | 72.8 |
| 2.482 | 36.19 | 30.8 |
| 2.355 | 38.22 | 26.3 |
| 2.320 | 38.82 | 62.2 |
| 1.956 | 46.43 | 54.9 |
| 1.818 | 50.17 | 27.4 |
| 1.786 | 51.15 | 50.5 |

No. 11
Starting from the PBE geometry in OQMD, the powder X-ray diffraction pattern of TbYBi4Au2 was simulated for CuKα.
No peak broadening, texture or thermal motion is included.

Unit cell a=4.607 b=4.607 c=9.932 alpha=90.00 beta=90.00 gamma=90.00
Element x y z (fractional)
Tb: 0.000 0.000 0.000
Y: 0.500 0.500 0.466
Bi: 0.000 0.000 0.431
Bi: 0.000 0.500 0.733
Bi: 0.500 0.000 0.733
Bi: 0.500 0.500 0.035
Au: 0.000 0.500 0.233
Au: 0.500 0.000 0.233

Principal peaks in the range 15 to 90 degrees two-theta, sorted by position:
| d (Å) | two_theta | I (rel.) |
| --- | --- | --- |
| 2.724 | 32.88 | 100.0 |
| 2.483 | 36.18 | 13.3 |
| 2.304 | 39.10 | 35.8 |
| 1.689 | 54.32 | 16.9 |
| 1.629 | 56.49 | 12.5 |
| 1.476 | 62.98 | 6.0 |
| 1.398 | 66.93 | 26.6 |
| 1.362 | 68.94 | 8.4 |
| 1.160 | 83.26 | 6.6 |
| 1.094 | 89.66 | 6.2 |

No. 12
Starting from the PBE geometry in OQMD, the powder X-ray diffraction pattern of TlBiAu was simulated for CuKα.
No peak broadening, texture or thermal motion is included.

Unit cell a=5.055 b=5.055 c=5.055 alpha=60.00 beta=60.00 gamma=60.00
Element x y z (fractional)
Tl: 0.000 0.000 0.000
Bi: 0.750 0.750 0.750
Au: 0.500 0.500 0.500

Principal peaks in the range 15 to 90 degrees two-theta, sorted by position:
| d (Å) | two_theta | I (rel.) |
| --- | --- | --- |
| 4.127 | 21.53 | 26.9 |
| 3.574 | 24.91 | 12.3 |
| 2.527 | 35.52 | 100.0 |
| 2.155 | 41.92 | 15.0 |
| 1.787 | 51.11 | 18.1 |
| 1.640 | 56.08 | 6.5 |
| 1.459 | 63.79 | 37.7 |
| 1.264 | 75.19 | 11.9 |
| 1.208 | 79.29 | 5.0 |
| 1.130 | 86.01 | 17.4 |

No. 13
Starting from the PBE geometry in OQMD, the powder X-ray diffraction pattern of Tl3Bi2Au3 was simulated for CuKα.
No peak broadening, texture or thermal motion is included.

Unit cell a=8.270 b=8.270 c=8.270 alpha=41.39 beta=41.39 gamma=41.39
Element x y z (fractional)
Tl: 0.000 0.000 0.000
Tl: 0.423 0.423 0.423
Tl: 0.577 0.577 0.577
Bi: 0.272 0.272 0.272
Bi: 0.728 0.728 0.728
Au: 0.000 0.000 0.500
Au: 0.000 0.500 0.000
Au: 0.500 0.000 0.000

Principal peaks in the range 15 to 90 degrees two-theta, sorted by position:
| d (Å) | two_theta | I (rel.) |
| --- | --- | --- |
| 3.376 | 26.40 | 18.3 |
| 2.922 | 30.59 | 44.3 |
| 2.726 | 32.85 | 100.0 |
| 2.515 | 35.69 | 35.3 |
| 2.470 | 36.37 | 17.0 |
| 2.311 | 38.98 | 67.4 |
| 1.887 | 48.22 | 18.4 |
| 1.687 | 54.37 | 17.0 |
| 1.647 | 55.83 | 40.9 |
| 1.461 | 63.69 | 22.2 |